Record 1
This entry pairs a crystal structure of MgAlTeI2 with its calculated XRD peak list. Radiation: Cu Ka. Structure: a cell relaxed with GGA-PBE.
No peak broadening, texture or thermal motion is included.

Crystal structure
Cell lengths 5.4842, 5.4842, 5.5918 Å; angles 90.00, 90.00, 90.00 degrees
Positions (direct):
1 Mg 0.0000 0.0000 0.0000
2 Al 0.5000 0.5000 0.5000
3 Te 0.5000 0.5000 0.0000
4 I 0.0000 0.5000 0.5000
5 I 0.5000 0.0000 0.5000

Peak list (8 most intense, 15 to 90 degrees two-theta, by angle)
16.16 deg, I 21
28.00 deg, I 100
32.01 deg, I 23
32.66 deg, I 44
46.38 deg, I 32
46.86 deg, I 16
55.47 deg, I 29
57.87 deg, I 17

---

Record 2
This entry pairs a crystal structure of Dy2Ti3Si4 with its calculated XRD peak list. Radiation: Cu Ka. Structure: a cell relaxed with GGA-PBE.
No peak broadening, texture or thermal motion is included.

Crystal structure
Cell lengths 7.0482, 7.0482, 12.9619 Å; angles 90.00, 90.00, 90.00 degrees
Positions (direct):
1 Dy 0.0027 0.3400 0.0335
2 Dy 0.1600 0.5027 0.2835
3 Dy 0.3400 0.0027 0.9665
4 Dy 0.4973 0.8400 0.2165
5 Dy 0.5027 0.1600 0.7165
6 Dy 0.6600 0.9973 0.4665
7 Dy 0.8400 0.4973 0.7835
8 Dy 0.9973 0.6600 0.5335
9 Ti 0.0075 0.1526 0.6233
10 Ti 0.1526 0.0075 0.3767
11 Ti 0.1727 0.8273 0.7500
12 Ti 0.3273 0.3273 0.5000
13 Ti 0.3474 0.5075 0.8733
14 Ti 0.4925 0.6526 0.6267
15 Ti 0.5075 0.3474 0.1267
16 Ti 0.6526 0.4925 0.3733
17 Ti 0.6727 0.6727 0.0000
18 Ti 0.8273 0.1727 0.2500
19 Ti 0.8474 0.9925 0.8767
20 Ti 0.9925 0.8474 0.1233
21 Si 0.0464 0.7086 0.9350
22 Si 0.1307 0.2023 0.8153
23 Si 0.2023 0.1307 0.1847
24 Si 0.2086 0.4536 0.6850
25 Si 0.2914 0.9536 0.5650
26 Si 0.2977 0.6307 0.0653
27 Si 0.3693 0.7023 0.4347
28 Si 0.4536 0.2086 0.3150
29 Si 0.5464 0.7914 0.8150
30 Si 0.6307 0.2977 0.9347
31 Si 0.7023 0.3693 0.5653
32 Si 0.7086 0.0464 0.0650
33 Si 0.7914 0.5464 0.1850
34 Si 0.7977 0.8693 0.6847
35 Si 0.8693 0.7977 0.3153
36 Si 0.9536 0.2914 0.4350

Peak list (8 most intense, 15 to 90 degrees two-theta, by angle)
19.08 deg, I 41
30.36 deg, I 32
31.56 deg, I 42
35.24 deg, I 100
36.73 deg, I 68
39.17 deg, I 64
40.86 deg, I 86
59.60 deg, I 32

---

Record 3
This entry pairs a crystal structure of Na3Cu2H7 with its calculated XRD peak list. Radiation: Cu Ka. Structure: a cell relaxed with GGA-PBE.
No peak broadening, texture or thermal motion is included.

Crystal structure
Cell lengths 9.6308, 9.6308, 9.6308 Å; angles 158.99, 158.99, 29.88 degrees
Positions (direct):
1 Na 0.0000 0.0000 0.0000
2 Na 0.1822 0.1822 0.0000
3 Na 0.8178 0.8178 0.0000
4 Cu 0.4056 0.4056 0.0000
5 Cu 0.5944 0.5944 0.0000
6 H 0.0893 0.5893 0.5000
7 H 0.3133 0.3133 0.0000
8 H 0.4107 0.9107 0.5000
9 H 0.5000 0.5000 0.0000
10 H 0.5893 0.0893 0.5000
11 H 0.6867 0.6867 0.0000
12 H 0.9107 0.4107 0.5000

Peak list (8 most intense, 15 to 90 degrees two-theta, by angle)
19.08 deg, I 21
25.82 deg, I 30
35.13 deg, I 100
36.17 deg, I 52
42.65 deg, I 12
52.09 deg, I 18
62.35 deg, I 13
64.39 deg, I 31

---

Record 4
This entry pairs a crystal structure of Pm4CuSeS2 with its calculated XRD peak list. Radiation: Cu Ka. Structure: a cell relaxed with GGA-PBE.
No peak broadening, texture or thermal motion is included.

Crystal structure
Cell lengths 7.1027, 7.1027, 7.1027 Å; angles 131.65, 131.65, 70.78 degrees
Positions (direct):
1 Pm 0.2435 0.2435 0.0000
2 Pm 0.5048 0.0048 0.5000
3 Pm 0.7565 0.7565 0.0000
4 Pm 0.9952 0.4952 0.5000
5 Cu 0.5000 0.5000 0.0000
6 Se 0.2500 0.7500 0.5000
7 S 0.0000 0.0000 0.0000
8 S 0.7500 0.2500 0.5000

Peak list (8 most intense, 15 to 90 degrees two-theta, by angle)
26.58 deg, I 60
30.74 deg, I 100
30.89 deg, I 49
44.03 deg, I 37
44.14 deg, I 72
54.75 deg, I 38
72.73 deg, I 32
81.04 deg, I 24

---

Record 5
This entry pairs a crystal structure of LaPu6S8 with its calculated XRD peak list. Radiation: Cu Ka. Structure: a cell relaxed with GGA-PBE.
No peak broadening, texture or thermal motion is included.

Crystal structure
Cell lengths 7.9749, 7.9749, 7.9749 Å; angles 60.00, 60.00, 60.00 degrees
Positions (direct):
1 La 0.0000 0.0000 0.0000
2 Pu 0.0000 0.0000 0.5000
3 Pu 0.0000 0.5000 0.0000
4 Pu 0.0000 0.5000 0.5000
5 Pu 0.5000 0.0000 0.0000
6 Pu 0.5000 0.0000 0.5000
7 Pu 0.5000 0.5000 0.0000
8 S 0.2500 0.2500 0.2500
9 S 0.2549 0.2549 0.7451
10 S 0.2549 0.7451 0.2549
11 S 0.2549 0.7451 0.7451
12 S 0.7451 0.2549 0.2549
13 S 0.7451 0.2549 0.7451
14 S 0.7451 0.7451 0.2549
15 S 0.7500 0.7500 0.7500

Peak list (8 most intense, 15 to 90 degrees two-theta, by angle)
27.39 deg, I 94
31.74 deg, I 100
45.50 deg, I 74
53.93 deg, I 48
56.53 deg, I 26
73.15 deg, I 20
75.38 deg, I 34
84.09 deg, I 26

---

Record 6
This entry pairs a crystal structure of Ta2Os2Pd with its calculated XRD peak list. Radiation: Cu Ka. Structure: a cell relaxed with GGA-PBE.
No peak broadening, texture or thermal motion is included.

Crystal structure
Cell lengths 7.4636, 7.4636, 3.0400 Å; angles 90.00, 90.00, 90.00 degrees
Positions (direct):
1 Ta 0.1590 0.3410 0.0000
2 Ta 0.3410 0.8410 0.0000
3 Ta 0.6590 0.1590 0.0000
4 Ta 0.8410 0.6590 0.0000
5 Os 0.1378 0.6378 0.5000
6 Os 0.3622 0.1378 0.5000
7 Os 0.6378 0.8622 0.5000
8 Os 0.8622 0.3622 0.5000
9 Pd 0.0000 0.0000 0.5000
10 Pd 0.5000 0.5000 0.5000

Peak list (8 most intense, 15 to 90 degrees two-theta, by angle)
16.80 deg, I 16
38.14 deg, I 55
40.12 deg, I 100
48.82 deg, I 14
51.98 deg, I 10
59.43 deg, I 10
74.21 deg, I 14
75.37 deg, I 22

---

Record 7
This entry pairs a crystal structure of Sm10Tm4Pu with its calculated XRD peak list. Radiation: Cu Ka. Structure: a cell relaxed with GGA-PBE.
No peak broadening, texture or thermal motion is included.

Crystal structure
Cell lengths 8.6738, 8.6738, 8.6738 Å; angles 111.57, 111.57, 105.36 degrees
Positions (direct):
1 Sm 0.0434 0.9441 0.6718
2 Sm 0.0559 0.7277 0.0993
3 Sm 0.2500 0.7500 0.5000
4 Sm 0.2723 0.3716 0.3282
5 Sm 0.3716 0.0434 0.0993
6 Sm 0.6284 0.9566 0.9007
7 Sm 0.7277 0.6284 0.6718
8 Sm 0.7500 0.2500 0.5000
9 Sm 0.9441 0.2723 0.9007
10 Sm 0.9566 0.0559 0.3282
11 Tm 0.1715 0.5625 0.7340
12 Tm 0.4375 0.1715 0.6089
13 Tm 0.5625 0.8285 0.3911
14 Tm 0.8285 0.4375 0.2660
15 Pu 0.5000 0.5000 0.0000

Peak list (8 most intense, 15 to 90 degrees two-theta, by angle)
27.03 deg, I 92
28.74 deg, I 100
28.94 deg, I 100
32.77 deg, I 84
33.68 deg, I 96
34.22 deg, I 48
42.19 deg, I 37
44.99 deg, I 33

---

Record 8
This entry pairs a crystal structure of BaH8Pt2Au with its calculated XRD peak list. Radiation: Cu Ka. Structure: a cell relaxed with GGA-PBE.
No peak broadening, texture or thermal motion is included.

Crystal structure
Cell lengths 6.6009, 6.6009, 6.6009 Å; angles 46.07, 46.07, 46.07 degrees
Positions (direct):
1 Ba 0.0000 0.0000 0.0000
2 H 0.1281 0.5753 0.5753
3 H 0.3132 0.3132 0.3132
4 H 0.4247 0.4247 0.8719
5 H 0.4247 0.8719 0.4247
6 H 0.5753 0.1281 0.5753
7 H 0.5753 0.5753 0.1281
8 H 0.6868 0.6868 0.6868
9 H 0.8719 0.4247 0.4247
10 Pt 0.2218 0.2218 0.2218
11 Pt 0.7782 0.7782 0.7782
12 Au 0.5000 0.5000 0.5000

Peak list (8 most intense, 15 to 90 degrees two-theta, by angle)
15.05 deg, I 25
28.40 deg, I 100
34.73 deg, I 78
38.04 deg, I 16
41.06 deg, I 18
45.45 deg, I 28
58.44 deg, I 27
62.25 deg, I 15

---

Record 9
This entry pairs a crystal structure of AcTb8Er3 with its calculated XRD peak list. Radiation: Cu Ka. Structure: a cell relaxed with GGA-PBE.
No peak broadening, texture or thermal motion is included.

Crystal structure
Cell lengths 8.5162, 8.5162, 8.5162 Å; angles 100.03, 95.76, 136.51 degrees
Positions (direct):
1 Ac 0.0000 0.0000 0.0000
2 Tb 0.0008 0.3379 0.3371
3 Tb 0.0008 0.6637 0.6629
4 Tb 0.0890 0.0020 0.4226
5 Tb 0.0890 0.6665 0.0870
6 Tb 0.5039 0.3340 0.8301
7 Tb 0.5039 0.6738 0.1699
8 Tb 0.5795 0.0020 0.9130
9 Tb 0.5795 0.6665 0.5774
10 Er 0.0847 0.3378 0.7470
11 Er 0.5042 0.0042 0.5000
12 Er 0.5908 0.3378 0.2530

Peak list (8 most intense, 15 to 90 degrees two-theta, by angle)
28.27 deg, I 24
31.32 deg, I 24
32.40 deg, I 100
42.69 deg, I 16
50.04 deg, I 20
56.44 deg, I 21
60.23 deg, I 23
60.88 deg, I 17

---

Record 10
This entry pairs a crystal structure of ZrRe2Pb with its calculated XRD peak list. Radiation: Cu Ka. Structure: a cell relaxed with GGA-PBE.
No peak broadening, texture or thermal motion is included.

Crystal structure
Cell lengths 3.0877, 3.0877, 8.2040 Å; angles 90.00, 90.00, 90.00 degrees
Positions (direct):
1 Zr 0.0000 0.0000 0.0000
2 Re 0.0000 0.0000 0.5815
3 Re 0.5000 0.5000 0.7608
4 Pb 0.5000 0.5000 0.3150

Peak list (8 most intense, 15 to 90 degrees two-theta, by angle)
36.42 deg, I 100
41.35 deg, I 42
44.21 deg, I 22
53.70 deg, I 9
59.91 deg, I 14
62.09 deg, I 12
72.18 deg, I 28
77.39 deg, I 12